(1)
Ni7Te: simulated powder XRD pattern (CuKα), based on a structure optimized by DFT (PBE).

```
Ni7Te
1.0
0.0000 3.6315 3.6315
3.6315 0.0000 3.6315
3.6315 3.6315 0.0000
Ni Te
7 1
direct
0.0000 0.0000 0.0000 Ni
0.0000 0.0000 0.5000 Ni
0.0000 0.5000 0.0000 Ni
0.0000 0.5000 0.5000 Ni
0.5000 0.0000 0.0000 Ni
0.5000 0.0000 0.5000 Ni
0.5000 0.5000 0.0000 Ni
0.5000 0.5000 0.5000 Te
```

Top 10 peaks for 2θ from 5° to 70°, by angle:
two_theta, d (Å), I/Imax
21.2, 4.193, 7
24.5, 3.632, 3
34.9, 2.568, 3
41.2, 2.190, 4
43.1, 2.097, 100
50.2, 1.816, 47
55.1, 1.666, 2
56.7, 1.624, 1
62.7, 1.483, 1
66.9, 1.398, 1

=====

(2)
Ni7Te6: simulated powder XRD pattern (CuKα), based on a structure optimized by DFT (PBE).

```
Ni7Te6
1.0
2.7206 1.5708 9.2099
-2.7206 1.5708 9.2099
0.0000 -3.1415 9.2099
Ni Te
7 6
direct
0.0000 0.0000 0.0000 Ni
0.0698 0.0698 0.5920 Ni
0.0698 0.5920 0.0698 Ni
0.4080 0.9302 0.9302 Ni
0.5920 0.0698 0.0698 Ni
0.9302 0.4080 0.9302 Ni
0.9302 0.9302 0.4080 Ni
0.1685 0.1685 0.1685 Te
0.3143 0.3143 0.3143 Te
0.4287 0.4287 0.4287 Te
0.5713 0.5713 0.5713 Te
0.6857 0.6857 0.6857 Te
0.8315 0.8315 0.8315 Te
```

Top 12 peaks for 2θ from 5° to 70°, by angle:
two_theta, d (Å), I/Imax
29.5, 3.026, 38
32.1, 2.786, 50
32.9, 2.721, 100
38.4, 2.345, 78
39.1, 2.302, 32
41.7, 2.167, 20
44.8, 2.023, 69
46.7, 1.946, 56
52.0, 1.758, 17
56.7, 1.623, 19
58.8, 1.571, 19
69.0, 1.360, 34

=====

(3)
Ni2Te3: simulated powder XRD pattern (CuKα), based on a structure optimized by DFT (PBE).

```
Ni2Te3
1.0
0.0000 5.7004 3.5120
5.5650 0.0000 3.5120
5.5650 5.7004 0.0000
Ni Te
4 6
direct
0.3436 0.6564 0.5841 Ni
0.6564 0.3436 0.4159 Ni
0.6659 0.8341 0.9064 Ni
0.8341 0.6659 0.5936 Ni
0.0567 0.0567 0.4433 Te
0.2743 0.5424 0.3574 Te
0.4241 0.8926 0.7076 Te
0.5424 0.2743 0.8259 Te
0.8067 0.8067 0.1933 Te
0.8926 0.4241 0.9757 Te
```

Top 12 peaks for 2θ from 5° to 70°, by angle:
two_theta, d (Å), I/Imax
16.8, 5.268, 47
27.9, 3.201, 83
28.3, 3.153, 69
30.1, 2.970, 87
35.4, 2.537, 50
36.2, 2.483, 100
40.1, 2.246, 57
43.4, 2.086, 37
44.5, 2.037, 46
46.3, 1.962, 39
52.9, 1.732, 29
57.3, 1.607, 25

=====

(4)
Ti2Tl3NiTe6: simulated powder XRD pattern (CuKα), based on a structure optimized by DFT (PBE).

```
Ti2Tl3NiTe6
1.0
3.5110 -6.0658 0.0000
3.5110 6.0658 0.0000
-2.3011 0.0000 8.0804
Ti Tl Ni Te
2 3 1 6
direct
0.1638 0.8362 0.0000 Ti
0.8362 0.1638 0.0000 Ti
0.0000 0.0000 0.5000 Tl
0.3246 0.6754 0.5000 Tl
0.6754 0.3246 0.5000 Tl
0.5000 0.5000 0.0000 Ni
0.1212 0.4413 0.8169 Te
0.2438 0.2438 0.1902 Te
0.4413 0.1212 0.8169 Te
0.5587 0.8788 0.1831 Te
0.7562 0.7562 0.8098 Te
0.8788 0.5587 0.1831 Te
```

Top 12 peaks for 2θ from 5° to 70°, by angle:
two_theta, d (Å), I/Imax
25.7, 3.470, 20
29.4, 3.035, 100
31.4, 2.850, 12
31.5, 2.837, 23
33.3, 2.693, 16
39.2, 2.300, 10
39.4, 2.289, 20
44.8, 2.024, 36
54.6, 1.682, 12
55.8, 1.648, 15
56.7, 1.622, 7
57.0, 1.616, 14

=====

(5)
TiTlNi2Te: simulated powder XRD pattern (CuKα), based on a structure optimized by DFT (PBE).

```
TiTlNi2Te
1.0
4.6827 0.0000 0.0000
0.0000 4.6827 0.0000
0.0000 0.0000 5.7329
Ti Tl Ni Te
1 1 2 1
direct
0.0000 0.0000 0.0000 Ti
0.5000 0.5000 0.5000 Tl
0.0000 0.5000 0.5000 Ni
0.5000 0.0000 0.5000 Ni
0.5000 0.5000 0.0000 Te
```

Top 12 peaks for 2θ from 5° to 70°, by angle:
two_theta, d (Å), I/Imax
15.5, 5.733, 26
19.0, 4.683, 100
24.5, 3.627, 22
26.9, 3.311, 33
31.2, 2.867, 59
36.8, 2.445, 39
38.4, 2.341, 56
41.7, 2.167, 30
43.2, 2.094, 25
50.3, 1.813, 51
54.2, 1.691, 26
65.1, 1.434, 30